Record 1
This entry pairs a crystal structure of SrH3Pt with its computed X-ray diffraction stick pattern. Radiation: Cu Kα. Structure: a DFT-relaxed cell (GGA-PBE, Alexandria).
Kinematic intensities with the Lorentz-polarization factor, no thermal factor.

Structural model:
```
SrH3Pt
1.0
4.4919 0.0000 0.0000
-0.2985 4.8191 0.0000
-0.1215 -1.5469 6.3070
Sr H Pt
2 6 2
direct
0.0000 0.0000 0.0000
0.4919 0.3801 0.5549
0.0189 0.6024 0.6134
0.2600 0.7396 0.3147
0.4780 0.7506 0.9199
0.5259 0.2303 0.1687
0.7125 0.9627 0.6505
0.9643 0.1396 0.3851
0.4961 0.5060 0.0604
0.9892 0.8602 0.4874
```

The 6 most intense peaks (10° ≤ 2θ ≤ 90°), by intensity:
d = 3.353 Å, 26.59 deg, intensity 100
d = 3.154 Å, 28.30 deg, intensity 94
d = 3.132 Å, 28.50 deg, intensity 82
d = 2.484 Å, 36.17 deg, intensity 46
d = 2.459 Å, 36.54 deg, intensity 43
d = 2.240 Å, 40.26 deg, intensity 41

=====

Record 2
This entry pairs a crystal structure of Sr9H14Pt2 with its computed X-ray diffraction stick pattern. Radiation: Cu Kα. Structure: a DFT-relaxed cell (GGA-PBE, Alexandria).
Kinematic intensities with the Lorentz-polarization factor, no thermal factor.

Structural model:
```
Sr9H14Pt2
1.0
7.3812 0.0000 0.0000
-3.6906 6.3923 0.0000
0.0000 0.0000 10.5831
Sr H Pt
9 14 2
direct
0.0000 0.0000 0.0000
0.0398 0.3285 0.3498
0.2886 0.9602 0.3498
0.3285 0.2886 0.6502
0.3333 0.6667 0.9184
0.6667 0.3333 0.0816
0.6715 0.7114 0.3498
0.7114 0.0398 0.6502
0.9602 0.6715 0.6502
0.0000 0.0000 0.3590
0.0000 0.0000 0.6410
0.0518 0.3863 0.5883
0.1327 0.8212 0.8575
0.1788 0.3115 0.8575
0.3115 0.1327 0.1425
0.3346 0.9482 0.5883
0.3863 0.3346 0.4117
0.6137 0.6654 0.5883
0.6654 0.0518 0.4117
0.6885 0.8673 0.8575
0.8212 0.6885 0.1425
0.8673 0.1788 0.1425
0.9482 0.6137 0.4117
0.3333 0.6667 0.1814
0.6667 0.3333 0.8186
```

The 6 most intense peaks (10° ≤ 2θ ≤ 90°), by intensity:
d = 3.485 Å, 25.56 deg, intensity 100
d = 5.472 Å, 16.20 deg, intensity 56
d = 2.131 Å, 42.42 deg, intensity 36
d = 2.550 Å, 35.19 deg, intensity 28
d = 3.089 Å, 28.91 deg, intensity 26
d = 3.027 Å, 29.51 deg, intensity 26

=====

Record 3
This entry pairs a crystal structure of SrH3Pt with its computed X-ray diffraction stick pattern. Radiation: Cu Kα. Structure: a DFT-relaxed cell (GGA-PBE, Alexandria).
Kinematic intensities with the Lorentz-polarization factor, no thermal factor.

Structural model:
```
SrH3Pt
1.0
5.5680 0.0000 0.0000
0.0000 5.5680 0.0000
0.0000 0.0000 3.7685
Sr H Pt
2 6 2
direct
0.0000 0.0000 0.0000
0.5000 0.5000 0.0000
0.0000 0.5000 0.0000
0.2213 0.2787 0.5000
0.2787 0.7787 0.5000
0.5000 0.0000 0.0000
0.7213 0.2213 0.5000
0.7787 0.7213 0.5000
0.0000 0.5000 0.5000
0.5000 0.0000 0.5000
```

The 6 most intense peaks (10° ≤ 2θ ≤ 90°), by intensity:
d = 2.722 Å, 32.90 deg, intensity 100
d = 2.784 Å, 32.15 deg, intensity 53
d = 1.595 Å, 57.80 deg, intensity 40
d = 1.969 Å, 46.11 deg, intensity 20
d = 1.560 Å, 59.21 deg, intensity 19
d = 3.937 Å, 22.58 deg, intensity 18

=====

Record 4
This entry pairs a crystal structure of Sr2ZnH6Pt with its computed X-ray diffraction stick pattern. Radiation: Cu Kα. Structure: a DFT-relaxed cell (GGA-PBE, Alexandria).
Kinematic intensities with the Lorentz-polarization factor, no thermal factor.

Structural model:
```
Sr2ZnH6Pt
1.0
3.8737 -3.8869 0.0000
3.8737 3.8869 0.0000
-3.8672 0.0000 3.9332
Sr Zn H Pt
2 1 6 1
direct
0.2499 0.7501 0.0000
0.7501 0.2499 0.0000
0.0000 0.0000 0.5000
0.2662 0.2662 0.0313
0.2667 0.2667 0.5016
0.2666 0.7334 0.5000
0.7334 0.2666 0.5000
0.7333 0.7333 0.4984
0.7338 0.7338 0.9687
0.5000 0.5000 0.5000
```

The 6 most intense peaks (10° ≤ 2θ ≤ 90°), by intensity:
d = 2.762 Å, 32.41 deg, intensity 100
d = 2.744 Å, 32.64 deg, intensity 49
d = 1.588 Å, 58.07 deg, intensity 28
d = 4.501 Å, 19.73 deg, intensity 25
d = 1.598 Å, 57.67 deg, intensity 19
d = 1.967 Å, 46.16 deg, intensity 10

=====

Record 5
This entry pairs a crystal structure of TbH6Pt3 with its computed X-ray diffraction stick pattern. Radiation: Cu Kα. Structure: a DFT-relaxed cell (GGA-PBE, Alexandria).
Kinematic intensities with the Lorentz-polarization factor, no thermal factor.

Structural model:
```
TbH6Pt3
1.0
4.7714 0.0000 0.0000
1.8807 4.4097 0.0000
1.2157 0.7495 4.9714
Tb H Pt
1 6 3
direct
0.0000 0.0000 0.0000
0.0063 0.0053 0.4995
0.0308 0.4450 0.1340
0.1143 0.4774 0.6492
0.4476 0.0290 0.1313
0.4788 0.1169 0.6477
0.5602 0.5622 0.8695
0.2445 0.2430 0.3871
0.6129 0.6129 0.1701
0.7758 0.7768 0.6007
```

The 6 most intense peaks (10° ≤ 2θ ≤ 90°), by intensity:
d = 2.324 Å, 38.75 deg, intensity 100
d = 2.636 Å, 34.01 deg, intensity 79
d = 2.698 Å, 33.21 deg, intensity 74
d = 2.312 Å, 38.95 deg, intensity 59
d = 2.317 Å, 38.87 deg, intensity 49
d = 3.548 Å, 25.10 deg, intensity 40

=====

Record 6
This entry pairs a crystal structure of TeH5Pt with its computed X-ray diffraction stick pattern. Radiation: Cu Kα. Structure: a DFT-relaxed cell (GGA-PBE, Alexandria).
Kinematic intensities with the Lorentz-polarization factor, no thermal factor.

Structural model:
```
TeH5Pt
1.0
2.7673 0.0000 0.0000
0.1274 4.5882 0.0000
0.0959 0.6333 8.1264
Te H Pt
1 5 1
direct
0.0000 0.0000 0.0000
0.0225 0.8217 0.7115
0.0487 0.5558 0.3210
0.0548 0.3999 0.3745
0.5282 0.8922 0.4812
0.5430 0.4608 0.6292
0.0363 0.6671 0.5456
```

The 6 most intense peaks (10° ≤ 2θ ≤ 90°), by intensity:
d = 4.063 Å, 21.87 deg, intensity 100
d = 3.860 Å, 23.04 deg, intensity 86
d = 4.126 Å, 21.54 deg, intensity 71
d = 4.574 Å, 19.41 deg, intensity 42
d = 2.766 Å, 32.37 deg, intensity 41
d = 8.126 Å, 10.89 deg, intensity 36

=====

Record 7
This entry pairs a crystal structure of Ti2HPt with its computed X-ray diffraction stick pattern. Radiation: Cu Kα. Structure: a DFT-relaxed cell (GGA-PBE, Alexandria).
Kinematic intensities with the Lorentz-polarization factor, no thermal factor.

Structural model:
```
Ti2HPt
1.0
5.8513 0.0000 0.0000
0.0000 3.8626 0.0000
0.0000 0.0000 8.7684
Ti H Pt
8 4 4
direct
0.1271 0.2500 0.0730
0.1267 0.2500 0.7295
0.3733 0.7500 0.2295
0.3729 0.7500 0.5730
0.6271 0.2500 0.4270
0.6267 0.2500 0.7705
0.8733 0.7500 0.2705
0.8729 0.7500 0.9270
0.0832 0.7500 0.1068
0.4168 0.2500 0.6068
0.5832 0.7500 0.3932
0.9168 0.2500 0.8932
0.1180 0.2500 0.4030
0.3820 0.7500 0.9030
0.6180 0.2500 0.0970
0.8820 0.7500 0.5970
```

The 6 most intense peaks (10° ≤ 2θ ≤ 90°), by intensity:
d = 2.331 Å, 38.62 deg, intensity 100
d = 2.068 Å, 43.78 deg, intensity 34
d = 4.867 Å, 18.23 deg, intensity 32
d = 1.239 Å, 76.98 deg, intensity 22
d = 1.411 Å, 66.21 deg, intensity 19
d = 2.597 Å, 34.54 deg, intensity 17

=====

Record 8
This entry pairs a crystal structure of Ti2VHPt with its computed X-ray diffraction stick pattern. Radiation: Cu Kα. Structure: a DFT-relaxed cell (GGA-PBE, Alexandria).
Kinematic intensities with the Lorentz-polarization factor, no thermal factor.

Structural model:
```
Ti2VHPt
1.0
4.2695 0.0000 0.0000
0.0000 4.2695 0.0000
0.0000 0.0000 3.4502
Ti V H Pt
2 1 1 1
direct
0.0000 0.5000 0.0000
0.5000 0.0000 0.0000
0.0000 0.0000 0.5000
0.0000 0.0000 0.0000
0.5000 0.5000 0.5000
```

The 6 most intense peaks (10° ≤ 2θ ≤ 90°), by intensity:
d = 2.272 Å, 39.67 deg, intensity 100
d = 4.269 Å, 20.81 deg, intensity 43
d = 2.135 Å, 42.34 deg, intensity 42
d = 2.684 Å, 33.39 deg, intensity 29
d = 1.257 Å, 75.64 deg, intensity 28
d = 3.019 Å, 29.59 deg, intensity 21

=====

Record 9
This entry pairs a crystal structure of Tl2H2Pt with its computed X-ray diffraction stick pattern. Radiation: Cu Kα. Structure: a DFT-relaxed cell (GGA-PBE, Alexandria).
Kinematic intensities with the Lorentz-polarization factor, no thermal factor.

Structural model:
```
Tl2H2Pt
1.0
4.7188 0.0000 0.0000
-0.0606 5.3875 0.0000
-2.3153 -2.4419 7.4062
Tl H Pt
4 4 2
direct
0.0640 0.3346 0.1746
0.3915 0.1653 0.8269
0.6085 0.8347 0.1731
0.9360 0.6654 0.8254
0.2434 0.9792 0.4593
0.2848 0.5166 0.5419
0.7152 0.4834 0.4581
0.7566 0.0208 0.5407
0.4990 0.7501 0.5002
0.5010 0.2499 0.4998
```

The 6 most intense peaks (10° ≤ 2θ ≤ 90°), by intensity:
d = 2.469 Å, 36.39 deg, intensity 100
d = 3.411 Å, 26.12 deg, intensity 84
d = 3.242 Å, 27.52 deg, intensity 71
d = 3.189 Å, 27.98 deg, intensity 71
d = 4.496 Å, 19.75 deg, intensity 70
d = 3.157 Å, 28.27 deg, intensity 70

=====

Record 10
This entry pairs a crystal structure of TlH3Pt with its computed X-ray diffraction stick pattern. Radiation: Cu Kα. Structure: a DFT-relaxed cell (GGA-PBE, Alexandria).
Kinematic intensities with the Lorentz-polarization factor, no thermal factor.

Structural model:
```
TlH3Pt
1.0
2.7885 -4.7349 0.0000
2.7885 4.7349 0.0000
-0.3066 0.0000 5.6010
Tl H Pt
2 6 2
direct
0.2340 0.7660 0.5000
0.7660 0.2340 0.0000
0.2028 0.7864 0.0257
0.2462 0.3144 0.7052
0.3144 0.2462 0.2052
0.7864 0.2028 0.5257
0.8406 0.8893 0.3431
0.8893 0.8406 0.8431
0.0544 0.2126 0.3985
0.2126 0.0544 0.8985
```

The 6 most intense peaks (10° ≤ 2θ ≤ 90°), by intensity:
d = 4.800 Å, 18.48 deg, intensity 100
d = 2.440 Å, 36.84 deg, intensity 76
d = 3.733 Å, 23.84 deg, intensity 70
d = 2.492 Å, 36.04 deg, intensity 45
d = 2.801 Å, 31.96 deg, intensity 38
d = 2.400 Å, 37.47 deg, intensity 28